Computed X-ray diffraction stick pattern
Compound: TiSnIr
Radiation: λ = 1.5418 Å (Cu Kα)
Structure: the GGA-PBE geometry in the Materials Project

Principal peaks in the range 2θ = 10–90°, by angle:
| (hkl) | two_theta | intensity |
| --- | --- | --- |
| 1 1 1 | 24.82 | 79.4 |
| 2 2 0 | 41.10 | 100.0 |
| 3 1 1 | 48.61 | 40.5 |
| 4 0 0 | 59.52 | 16.9 |
| 3 3 1 | 65.49 | 17.0 |
| 4 2 2 | 74.88 | 34.7 |
| 5 1 1 | 80.30 | 13.1 |
| 4 4 0 | 89.17 | 11.7 |

a = 6.212 Å, b = 6.212 Å, c = 6.212 Å
α = 90.00°, β = 90.00°, γ = 90.00°
Positions (direct):
Ti (0.000, 0.000, 0.000)
Ti (0.000, 0.500, 0.500)
Ti (0.500, 0.000, 0.500)
Ti (0.500, 0.500, 0.000)
Sn (0.000, 0.000, 0.500)
Sn (0.000, 0.500, 0.000)
Sn (0.500, 0.000, 0.000)
Sn (0.500, 0.500, 0.500)
Ir (0.250, 0.250, 0.250)
Ir (0.250, 0.750, 0.750)
Ir (0.750, 0.250, 0.750)
Ir (0.750, 0.750, 0.250)



Computed X-ray diffraction stick pattern
Compound: Si3H9N
Radiation: λ = 1.5418 Å (Cu Kα)
Structure: the GGA-PBE geometry in the Materials Project

Principal peaks in the range 2θ = 10–90°, by angle:
| (hkl) | two_theta | intensity |
| --- | --- | --- |
| 0 1 0 | 14.56 | 100.0 |
| 1 0 0 | 14.79 | 41.7 |
| 0 0 2 | 21.62 | 92.5 |
| 1 0 -2 | 23.14 | 40.3 |
| 0 1 -2 | 23.57 | 33.3 |
| -1 1 2 | 25.63 | 15.8 |
| -2 1 1 | 26.19 | 13.7 |
| -1 2 1 | 28.40 | 14.8 |
| 0 2 -1 | 29.17 | 20.6 |
| 2 -2 1 | 31.84 | 13.2 |

a = 7.037 Å, b = 7.095 Å, c = 8.502 Å
α = 95.41°, β = 99.38°, γ = 118.78°
Positions (direct):
Si (0.083, 0.287, 0.276)
Si (0.219, 0.941, 0.269)
Si (0.269, 0.197, 0.796)
Si (0.731, 0.803, 0.204)
Si (0.781, 0.059, 0.731)
Si (0.917, 0.713, 0.724)
H (0.127, 0.706, 0.734)
H (0.193, 0.393, 0.147)
H (0.198, 0.801, 0.394)
H (0.207, 0.817, 0.112)
H (0.241, 0.413, 0.437)
H (0.277, 0.412, 0.824)
H (0.376, 0.188, 0.660)
H (0.400, 0.179, 0.946)
H (0.440, 0.149, 0.322)
H (0.560, 0.851, 0.678)
H (0.600, 0.821, 0.054)
H (0.624, 0.812, 0.340)
H (0.723, 0.588, 0.176)
H (0.759, 0.587, 0.563)
H (0.793, 0.183, 0.888)
H (0.802, 0.199, 0.606)
H (0.807, 0.607, 0.853)
H (0.873, 0.294, 0.266)
N (0.011, 0.011, 0.250)
N (0.989, 0.989, 0.750)



Computed X-ray diffraction stick pattern
Compound: Sr2DyTaO6
Radiation: λ = 1.5418 Å (Cu Kα)
Structure: the GGA-PBE geometry in the Materials Project

Principal peaks in the range 2θ = 10–90°, by angle:
| (hkl) | two_theta | intensity |
| --- | --- | --- |
| 1 1 -1 | 21.32 | 56.9 |
| 0 2 0 | 30.13 | 49.1 |
| 1 1 1 | 30.28 | 100.0 |
| 1 1 -3 | 30.39 | 99.4 |
| 2 0 -2 | 30.52 | 48.0 |
| 0 0 4 | 43.43 | 77.9 |
| 1 3 -3 | 53.64 | 37.7 |
| 0 2 4 | 53.78 | 21.9 |
| 3 1 -1 | 54.02 | 22.1 |
| 3 1 -5 | 54.21 | 33.4 |

a = 5.858 Å, b = 5.933 Å, c = 10.160 Å
α = 90.00°, β = 124.93°, γ = 90.00°
Positions (direct):
Sr (0.243, 0.036, 0.251)
Sr (0.243, 0.464, 0.751)
Sr (0.757, 0.536, 0.249)
Sr (0.757, 0.964, 0.749)
Dy (0.500, 0.000, 0.000)
Dy (0.500, 0.500, 0.500)
Ta (0.000, 0.000, 0.500)
Ta (0.000, 0.500, 0.000)
O (0.149, 0.225, 0.954)
O (0.149, 0.275, 0.454)
O (0.233, 0.697, 0.959)
O (0.233, 0.803, 0.459)
O (0.315, 0.024, 0.735)
O (0.315, 0.476, 0.235)
O (0.685, 0.524, 0.765)
O (0.685, 0.976, 0.265)
O (0.767, 0.197, 0.541)
O (0.767, 0.303, 0.041)
O (0.851, 0.725, 0.546)
O (0.851, 0.775, 0.046)



Please write out number 1 again, unchanged.
Computed X-ray diffraction stick pattern
Compound: TiSnIr
Radiation: λ = 1.5418 Å (Cu Kα)
Structure: the GGA-PBE geometry in the Materials Project

Principal peaks in the range 2θ = 10–90°, by angle:
| (hkl) | two_theta | intensity |
| --- | --- | --- |
| 1 1 1 | 24.82 | 79.4 |
| 2 2 0 | 41.10 | 100.0 |
| 3 1 1 | 48.61 | 40.5 |
| 4 0 0 | 59.52 | 16.9 |
| 3 3 1 | 65.49 | 17.0 |
| 4 2 2 | 74.88 | 34.7 |
| 5 1 1 | 80.30 | 13.1 |
| 4 4 0 | 89.17 | 11.7 |

a = 6.212 Å, b = 6.212 Å, c = 6.212 Å
α = 90.00°, β = 90.00°, γ = 90.00°
Positions (direct):
Ti (0.000, 0.000, 0.000)
Ti (0.000, 0.500, 0.500)
Ti (0.500, 0.000, 0.500)
Ti (0.500, 0.500, 0.000)
Sn (0.000, 0.000, 0.500)
Sn (0.000, 0.500, 0.000)
Sn (0.500, 0.000, 0.000)
Sn (0.500, 0.500, 0.500)
Ir (0.250, 0.250, 0.250)
Ir (0.250, 0.750, 0.750)
Ir (0.750, 0.250, 0.750)
Ir (0.750, 0.750, 0.250)